Theoretical XRD peak list
Compound: Th2Al3Zn6
Radiation: Cu Kα (λ = 1.5418 Å)
Structure: a crystal structure in Alexandria, relaxed with PBE
Kinematic intensities with the Lorentz-polarization factor, no thermal factor.

Structure:
Lattice parameters (Å, degrees): 7.316 7.316 4.063 90.00 90.00 93.99
Atoms (fractional coordinates):
Th 0.219 0.781 0.000
Th 0.781 0.219 0.000
Al 0.291 0.291 0.000
Al 0.500 0.500 0.500
Al 0.709 0.709 0.000
Zn 0.115 0.115 0.500
Zn 0.150 0.453 0.500
Zn 0.453 0.150 0.500
Zn 0.547 0.850 0.500
Zn 0.850 0.547 0.500
Zn 0.885 0.885 0.500

Principal peaks in the range 2θ from 10° to 90°, in order of falling intensity:
2theta, I/Imax
32.99, 1000
28.32, 741
34.65, 473
27.57, 441
24.39, 362
36.95, 320
44.60, 294
16.57, 289
38.17, 247
39.87, 244
55.19, 234
61.35, 192